The following is a theoretical powder diffraction line list of Rb3LiTbV2O8. It was derived from a cell relaxed with GGA+U, using Cu Kα (λ = 1.5418 Å).
Neutral-atom scattering factors, no anomalous dispersion.

Structural model:
Lattice parameters (Å, degrees): 5.9723 5.9723 8.9248 90.00 90.00 120.00
Space group P3m1 (No. 156)
Unique sites:
1 Rb 0.0000 0.0000 0.0000 (multiplicity 1)
2 Rb 0.3333 0.6667 0.5233 (multiplicity 1)
3 Rb 0.6667 0.3333 0.1839 (multiplicity 1)
4 Li 0.6667 0.3333 0.4890 (multiplicity 1)
5 Tb 0.6667 0.3333 0.7685 (multiplicity 1)
6 V 0.0000 0.0000 0.5222 (multiplicity 1)
7 V 0.3333 0.6667 0.9948 (multiplicity 1)
8 O 0.0000 0.0000 0.3270 (multiplicity 1)
9 O 0.0104 0.5052 0.9317 (multiplicity 3)
10 O 0.3333 0.6667 0.1844 (multiplicity 1)
11 O 0.3399 0.1700 0.5943 (multiplicity 3)

Principal peaks in the range 5 to 70 degrees two-theta, in order of falling intensity:
Position (°2θ), I/Imax
26.38, 100
29.92, 96
51.05, 56
40.31, 42
19.85, 25
9.91, 25
68.77, 23
34.79, 22
62.18, 18
53.12, 18